Entry 1:
Starting from a cell relaxed with GGA-PBE, the powder diffraction line list of Co2TcIr6 was computed for Cu Ka.
Lines closer than 0.1° are merged.

Largest 12 diffraction maxima, low angle first, 2θ = 15–90°:
2θ (°), I/Imax
20.10, 32.3
27.64, 28.9
29.28, 41.3
31.36, 18.2
37.25, 23.5
39.91, 97.1
44.45, 90.4
44.56, 32.0
47.01, 100.0
65.44, 22.2
71.83, 34.1
88.61, 28.0

Crystal structure
```
9
Lattice="2.628 1.517 6.100 -2.628 1.517 6.100 0.000 -3.035 6.100" Properties=species:S:1:pos:R:3 pbc="T T T"
Co 0.000 0.000 0.000
Co 0.000 0.000 2.387
Tc 0.000 0.000 7.123
Ir -1.366 -0.789 9.121
Ir 0.000 -1.471 11.313
Ir -1.274 0.736 11.313
Ir 1.366 -0.789 9.121
Ir 0.000 1.577 9.121
Ir 1.274 0.736 11.313
```

***

Entry 2:
Starting from a cell relaxed with GGA-PBE, the powder diffraction line list of UCoTcIr was computed for Cu Ka.
Lines closer than 0.1° are merged.

Largest 12 diffraction maxima, low angle first, 2θ = 15–90°:
2θ (°), I/Imax
22.74, 18.8
31.81, 16.8
39.46, 100.0
44.88, 17.4
46.32, 15.9
46.45, 15.7
66.48, 10.9
66.58, 10.8
79.10, 13.5
81.18, 12.6
81.37, 12.6
84.94, 11.4

Crystal structure
```
4
Lattice="3.910 0.000 0.000 0.000 3.920 0.000 0.000 0.000 4.039" Properties=species:S:1:pos:R:3 pbc="T T T"
U 0.000 0.000 0.000
Co 1.955 0.000 2.019
Tc 1.955 1.960 0.000
Ir 0.000 1.960 2.019
```

***

Entry 3:
Starting from a cell relaxed with GGA-PBE, the powder diffraction line list of CoTeIr2 was computed for Cu Ka.
Lines closer than 0.1° are merged.

Largest 12 diffraction maxima, low angle first, 2θ = 15–90°:
2θ (°), I/Imax
27.88, 16.1
34.91, 29.0
36.81, 100.0
40.57, 29.7
42.54, 21.5
42.96, 87.2
48.57, 14.5
49.70, 26.2
53.28, 37.3
62.16, 18.4
75.84, 26.2
78.93, 21.9

Crystal structure
```
4
Lattice="2.795 0.000 0.000 0.000 3.669 0.000 -0.010 0.000 6.541" Properties=species:S:1:pos:R:3 pbc="T T T"
Co 0.000 0.000 0.000
Te 2.790 1.835 1.905
Ir 1.388 1.835 5.330
Ir 2.786 0.000 4.000
```

***

Entry 4:
Starting from a cell relaxed with GGA-PBE, the powder diffraction line list of CoTeIr2 was computed for Cu Ka.
Lines closer than 0.1° are merged.

Largest 12 diffraction maxima, low angle first, 2θ = 15–90°:
2θ (°), I/Imax
22.90, 11.5
32.04, 10.2
39.75, 100.0
45.95, 33.1
46.79, 15.7
51.94, 5.7
57.84, 4.2
67.00, 10.7
67.67, 20.8
80.82, 25.4
82.06, 12.3
85.68, 11.1

Crystal structure
```
4
Lattice="3.950 0.000 0.000 0.000 3.950 0.000 0.000 0.000 3.883" Properties=species:S:1:pos:R:3 pbc="T T T"
Co 0.000 0.000 0.000
Te 1.975 1.975 0.000
Ir 0.000 1.975 1.942
Ir 1.975 0.000 1.942
```

***

Entry 5:
Starting from a cell relaxed with GGA-PBE, the powder diffraction line list of Th3CoIr8 was computed for Cu Ka.
Lines closer than 0.1° are merged.

Largest 12 diffraction maxima, low angle first, 2θ = 15–90°:
2θ (°), I/Imax
33.03, 13.1
33.24, 17.9
38.91, 29.9
39.12, 100.0
40.62, 14.0
40.97, 44.3
47.56, 10.3
63.19, 14.9
63.32, 16.1
69.29, 14.4
69.78, 20.3
83.99, 10.6

Crystal structure
```
12
Lattice="2.695 1.556 8.885 -2.695 1.556 8.885 0.000 -3.112 8.885" Properties=species:S:1:pos:R:3 pbc="T T T"
Th 0.000 0.000 0.000
Th 0.000 0.000 3.495
Th 0.000 0.000 16.236
Co 0.000 0.000 12.558
Ir 0.000 -1.568 6.060
Ir -1.357 -0.783 10.512
Ir -1.358 0.784 6.060
Ir 0.000 0.000 8.281
Ir 1.357 -0.783 10.512
Ir 0.000 1.567 10.512
Ir 1.358 0.784 6.060
Ir 0.000 0.000 21.647
```

***

Entry 6:
Starting from a cell relaxed with GGA-PBE, the powder diffraction line list of Ti11Co9Ir4 was computed for Cu Ka.
Lines closer than 0.1° are merged.

Largest 12 diffraction maxima, low angle first, 2θ = 15–90°:
2θ (°), I/Imax
21.58, 57.6
30.13, 26.2
30.64, 39.0
37.79, 53.6
41.43, 59.2
41.67, 69.6
42.06, 82.2
43.51, 100.0
43.79, 36.6
45.55, 25.8
47.75, 32.5
52.40, 28.1

Crystal structure
```
24
Lattice="6.349 -8.899 0.000 6.349 8.899 0.000 0.000 0.000 2.918" Properties=species:S:1:pos:R:3 pbc="T T T"
Ti 0.000 0.000 0.000
Ti 3.001 3.070 0.000
Ti 6.349 5.519 0.000
Ti 2.540 0.000 0.000
Ti 6.349 2.325 0.000
Ti 3.001 -3.070 0.000
Ti 9.697 3.070 0.000
Ti 6.349 -2.325 0.000
Ti 10.157 0.000 0.000
Ti 6.349 -5.519 0.000
Ti 9.697 -3.070 0.000
Co 1.368 1.867 1.459
Co 4.877 4.134 1.459
Co 1.368 -1.867 1.459
Co 7.821 4.134 1.459
Co 6.349 0.000 1.459
Co 4.877 -4.134 1.459
Co 11.330 1.867 1.459
Co 7.821 -4.134 1.459
Co 11.330 -1.867 1.459
Ir 4.257 1.399 1.459
Ir 4.257 -1.399 1.459
Ir 8.440 1.399 1.459
Ir 8.440 -1.399 1.459
```

***

Copy entry 3 word for word.
Starting from a cell relaxed with GGA-PBE, the powder diffraction line list of CoTeIr2 was computed for Cu Ka.
Lines closer than 0.1° are merged.

Largest 12 diffraction maxima, low angle first, 2θ = 15–90°:
2θ (°), I/Imax
27.88, 16.1
34.91, 29.0
36.81, 100.0
40.57, 29.7
42.54, 21.5
42.96, 87.2
48.57, 14.5
49.70, 26.2
53.28, 37.3
62.16, 18.4
75.84, 26.2
78.93, 21.9

Crystal structure
```
4
Lattice="2.795 0.000 0.000 0.000 3.669 0.000 -0.010 0.000 6.541" Properties=species:S:1:pos:R:3 pbc="T T T"
Co 0.000 0.000 0.000
Te 2.790 1.835 1.905
Ir 1.388 1.835 5.330
Ir 2.786 0.000 4.000
```